Starting from DFT lattice parameters and positions (PBE), the powder XRD pattern of TiNb3Cl7O2 was computed for Cu Kα (weighted mean of Kα1 and Kα2).

Structural model:
Unit cell a=9.8083 b=9.8083 c=12.7504 alpha=93.75 beta=93.75 gamma=98.30
Fractional coordinates of all 52 atoms:
Ti 0.0000 0.0000 0.0000
Ti 0.0000 0.0000 0.5000
Ti 0.1103 0.8897 0.7500
Ti 0.8897 0.1103 0.2500
Nb 0.0742 0.3349 0.4390
Nb 0.0953 0.6348 0.3925
Nb 0.1740 0.5534 0.6081
Nb 0.3349 0.0742 0.9390
Nb 0.3652 0.9047 0.1075
Nb 0.4466 0.8260 0.8919
Nb 0.5534 0.1740 0.1081
Nb 0.6348 0.0953 0.8925
Nb 0.6651 0.9258 0.0610
Nb 0.8260 0.4466 0.3919
Nb 0.9047 0.3652 0.6075
Nb 0.9258 0.6651 0.5610
Cl 0.0178 0.2154 0.1111
Cl 0.0872 0.4186 0.7508
Cl 0.0940 0.1234 0.8514
Cl 0.1234 0.0940 0.3514
Cl 0.2085 0.4502 0.3027
Cl 0.2080 0.7920 0.2500
Cl 0.2154 0.0178 0.6111
Cl 0.2959 0.6830 0.0031
Cl 0.2975 0.3609 0.5477
Cl 0.3170 0.7041 0.4969
Cl 0.3609 0.2975 0.0477
Cl 0.3847 0.6153 0.7500
Cl 0.4186 0.0872 0.2508
Cl 0.4502 0.2085 0.8027
Cl 0.5498 0.7915 0.1973
Cl 0.5814 0.9128 0.7492
Cl 0.6153 0.3847 0.2500
Cl 0.6391 0.7025 0.9523
Cl 0.6830 0.2959 0.5031
Cl 0.7025 0.6391 0.4523
Cl 0.7041 0.3170 0.9969
Cl 0.7846 0.9822 0.3889
Cl 0.7920 0.2080 0.7500
Cl 0.7915 0.5498 0.6973
Cl 0.8766 0.9060 0.6486
Cl 0.9060 0.8766 0.1486
Cl 0.9128 0.5814 0.2492
Cl 0.9822 0.7846 0.8889
O 0.0179 0.8027 0.4584
O 0.0975 0.7214 0.6703
O 0.1973 0.9821 0.0416
O 0.2786 0.9025 0.8297
O 0.7214 0.0975 0.1703
O 0.8027 0.0179 0.9584
O 0.9025 0.2786 0.3297
O 0.9821 0.1973 0.5416

Top 12 peaks for 10 to 90 degrees two-theta, in order of rising 2θ:
11.07 deg, I = 100
11.92 deg, I = 67
28.87 deg, I = 6
29.08 deg, I = 10
32.07 deg, I = 16
34.38 deg, I = 7
36.28 deg, I = 8
37.06 deg, I = 8
37.94 deg, I = 18
39.90 deg, I = 7
42.17 deg, I = 9
46.59 deg, I = 8


Starting from DFT lattice parameters and positions (PBE), the powder XRD pattern of NbPCl10 was computed for Cu Kα (weighted mean of Kα1 and Kα2).

Structural model:
Unit cell a=7.3478 b=7.5951 c=14.1764 alpha=91.09 beta=91.15 gamma=106.27
Fractional coordinates of all 24 atoms:
Nb 0.0000 0.0000 0.0000
Nb 0.0000 0.0000 0.5000
P 0.3806 0.5918 0.2607
P 0.6194 0.4082 0.7393
Cl 0.1020 0.0077 0.1606
Cl 0.1116 0.2689 0.5994
Cl 0.1268 0.8272 0.6092
Cl 0.1352 0.5235 0.1937
Cl 0.2251 0.2902 0.9774
Cl 0.2300 0.8462 0.9554
Cl 0.2939 0.0789 0.4210
Cl 0.3416 0.5884 0.3966
Cl 0.4732 0.1641 0.7760
Cl 0.4806 0.5848 0.7738
Cl 0.5194 0.4152 0.2262
Cl 0.5268 0.8359 0.2240
Cl 0.6584 0.4116 0.6034
Cl 0.7061 0.9211 0.5790
Cl 0.7700 0.1538 0.0446
Cl 0.7749 0.7098 0.0226
Cl 0.8648 0.4765 0.8063
Cl 0.8732 0.1728 0.3908
Cl 0.8884 0.7311 0.4006
Cl 0.8980 0.9923 0.8394

Top 12 peaks for 10 to 90 degrees two-theta, in order of rising 2θ:
12.53 deg, I = 70
14.83 deg, I = 91
17.23 deg, I = 94
17.51 deg, I = 75
17.68 deg, I = 71
17.98 deg, I = 88
19.43 deg, I = 44
19.83 deg, I = 54
28.57 deg, I = 53
30.58 deg, I = 100
31.07 deg, I = 58
31.39 deg, I = 47


Starting from DFT lattice parameters and positions (PBE), the powder XRD pattern of NbP4S5Cl5 was computed for Cu Kα (weighted mean of Kα1 and Kα2).

Structural model:
Unit cell a=7.2724 b=13.9539 c=18.7423 alpha=90.00 beta=103.33 gamma=90.00
Fractional coordinates of all 60 atoms:
Nb 0.2285 0.1933 0.0297
Nb 0.2285 0.3067 0.5297
Nb 0.7715 0.6933 0.4703
Nb 0.7715 0.8067 0.9703
P 0.0836 0.5077 0.8089
P 0.0836 0.9923 0.3089
P 0.1957 0.1401 0.6140
P 0.1957 0.3599 0.1140
P 0.2687 0.1715 0.7396
P 0.2687 0.3285 0.2396
P 0.4069 0.5523 0.2020
P 0.4069 0.9477 0.7020
P 0.5931 0.0523 0.2980
P 0.5931 0.4477 0.7980
P 0.7313 0.6715 0.7604
P 0.7313 0.8285 0.2604
P 0.8043 0.6401 0.8860
P 0.8043 0.8599 0.3860
P 0.9164 0.0077 0.6911
P 0.9164 0.4923 0.1911
S 0.0167 0.1217 0.7655
S 0.0167 0.3783 0.2655
S 0.0796 0.5835 0.9075
S 0.0796 0.9165 0.4075
S 0.1300 0.6001 0.2053
S 0.1300 0.8999 0.7053
S 0.3805 0.0279 0.6026
S 0.3805 0.4721 0.1026
S 0.4769 0.0649 0.7762
S 0.4769 0.4351 0.2762
S 0.5231 0.5649 0.7238
S 0.5231 0.9351 0.2238
S 0.6195 0.5279 0.8974
S 0.6195 0.9721 0.3974
S 0.8700 0.1001 0.2947
S 0.8700 0.3999 0.7947
S 0.9204 0.0835 0.5925
S 0.9204 0.4165 0.0925
S 0.9833 0.6217 0.7345
S 0.9833 0.8783 0.2345
Cl 0.0829 0.7310 0.5299
Cl 0.0829 0.7690 0.0299
Cl 0.1103 0.1267 0.1259
Cl 0.1103 0.3733 0.6259
Cl 0.2649 0.0542 0.9701
Cl 0.2649 0.4458 0.4701
Cl 0.3343 0.1972 0.4521
Cl 0.3343 0.3028 0.9521
Cl 0.4711 0.7024 0.3896
Cl 0.4711 0.7976 0.8896
Cl 0.5289 0.2024 0.1104
Cl 0.5289 0.2976 0.6104
Cl 0.6657 0.6972 0.0479
Cl 0.6657 0.8028 0.5479
Cl 0.7351 0.5542 0.5299
Cl 0.7351 0.9458 0.0299
Cl 0.8897 0.6267 0.3741
Cl 0.8897 0.8733 0.8741
Cl 0.9171 0.2310 0.9701
Cl 0.9171 0.2690 0.4701

Top 12 peaks for 10 to 90 degrees two-theta, in order of rising 2θ:
11.59 deg, I = 39
13.92 deg, I = 24
14.03 deg, I = 90
15.34 deg, I = 20
15.96 deg, I = 100
17.73 deg, I = 15
18.67 deg, I = 16
19.70 deg, I = 18
25.59 deg, I = 20
27.93 deg, I = 23
29.52 deg, I = 20
31.44 deg, I = 14


Starting from DFT lattice parameters and positions (PBE), the powder XRD pattern of Rb2Nb3Cl9 was computed for Cu Kα (weighted mean of Kα1 and Kα2).

Structural model:
Unit cell a=10.0783 b=10.0783 c=9.9312 alpha=103.62 beta=103.62 gamma=115.88
Fractional coordinates of all 28 atoms:
Rb 0.0527 0.7352 0.6795
Rb 0.2648 0.9473 0.3205
Rb 0.7352 0.0527 0.6795
Rb 0.9473 0.2648 0.3205
Nb 0.2806 0.4531 0.8620
Nb 0.3916 0.3916 0.1314
Nb 0.4531 0.2806 0.8620
Nb 0.5469 0.7194 0.1380
Nb 0.6084 0.6084 0.8686
Nb 0.7194 0.5469 0.1380
Cl 0.0029 0.3929 0.6844
Cl 0.1135 0.3187 0.9920
Cl 0.1842 0.1842 0.6758
Cl 0.2557 0.2557 0.2926
Cl 0.2962 0.7038 0.0000
Cl 0.3187 0.1135 0.9920
Cl 0.3686 0.5725 0.6852
Cl 0.3929 0.0029 0.6844
Cl 0.4275 0.6314 0.3148
Cl 0.5725 0.3686 0.6852
Cl 0.6071 0.9971 0.3156
Cl 0.6314 0.4275 0.3148
Cl 0.6813 0.8865 0.0080
Cl 0.7038 0.2962 0.0000
Cl 0.7443 0.7443 0.7074
Cl 0.8158 0.8158 0.3242
Cl 0.8865 0.6813 0.0080
Cl 0.9971 0.6071 0.3156

Top 12 peaks for 10 to 90 degrees two-theta, in order of rising 2θ:
10.36 deg, I = 47
10.58 deg, I = 95
11.38 deg, I = 100
14.37 deg, I = 37
18.12 deg, I = 33
23.78 deg, I = 31
31.16 deg, I = 32
32.50 deg, I = 61
35.80 deg, I = 27
36.83 deg, I = 33
41.34 deg, I = 31
46.19 deg, I = 24